1.
This entry pairs a crystal structure of Cs3Rb2Hg with its calculated powder diffraction line list. Radiation: copper Kα. Structure: a DFT-relaxed cell (PBE, Alexandria).

Cell and atoms:
Cell lengths 26.026, 7.997, 10.256 Å; angles 90.00, 101.94, 90.00 degrees
Space group C2/c (No. 15)
Inequivalent atoms, fractional coordinates:
Cs1 0.000 0.001 0.250 [4 per cell]
Cs2 0.109 0.500 0.057 [8 per cell]
Rb1 0.210 0.000 0.103 [8 per cell]
Hg1 0.000 0.498 0.750 [4 per cell]

Top 12 peaks for 15° ≤ 2θ ≤ 90°, by intensity:
2theta, I/Imax
22.2, 100
20.3, 71
30.2, 67
20.1, 67
24.8, 64
30.3, 53
20.7, 50
25.0, 41
41.9, 38
42.1, 35
35.0, 31
35.2, 29

---

2.
This entry pairs a crystal structure of Pm2SmS4 with its calculated powder diffraction line list. Radiation: copper Kα. Structure: a DFT-relaxed cell (PBE, Alexandria).

Cell and atoms:
Cell lengths 8.071, 8.117, 11.261 Å; angles 90.00, 90.00, 90.00 degrees
Space group Imma (No. 74)
Inequivalent atoms, fractional coordinates:
Pm1 0.000 0.000 0.000 [4 per cell]
Pm2 0.250 0.250 0.250 [4 per cell]
Sm1 0.250 0.250 0.750 [4 per cell]
S1 0.000 0.001 0.748 [8 per cell]
S2 0.241 0.250 0.999 [8 per cell]

Top 12 peaks for 15° ≤ 2θ ≤ 90°, by intensity:
2theta, I/Imax
31.3, 100
45.2, 70
31.8, 48
27.1, 40
27.2, 40
74.3, 23
25.8, 20
55.9, 19
56.1, 18
44.7, 18
44.9, 18
15.7, 18

---

3.
This entry pairs a crystal structure of Al2Zn3Ga3 with its calculated powder diffraction line list. Radiation: copper Kα. Structure: a DFT-relaxed cell (PBE, Alexandria).

Cell and atoms:
Cell lengths 9.375, 4.450, 7.080 Å; angles 90.00, 97.98, 90.00 degrees
Space group C2/m (No. 12)
Inequivalent atoms, fractional coordinates:
Al1 0.204 0.000 0.351 [4 per cell]
Zn1 0.000 0.000 0.000 [2 per cell]
Zn2 0.118 0.000 0.695 [4 per cell]
Ga1 0.000 0.500 0.500 [2 per cell]
Ga2 0.111 0.500 0.149 [4 per cell]

Top 12 peaks for 15° ≤ 2θ ≤ 90°, by intensity:
2theta, I/Imax
39.1, 100
43.6, 73
29.7, 52
40.5, 46
26.2, 31
46.1, 27
19.1, 25
51.1, 22
53.4, 22
61.1, 18
72.8, 15
32.9, 12

---

4.
This entry pairs a crystal structure of La4Nd2In with its calculated powder diffraction line list. Radiation: copper Kα. Structure: a DFT-relaxed cell (PBE, Alexandria).

Cell and atoms:
Cell lengths 6.538, 12.784, 6.586 Å; angles 90.00, 119.61, 90.00 degrees
Space group P2_1/c (No. 14)
Inequivalent atoms, fractional coordinates:
La1 0.089 0.171 0.332 [4 per cell]
La2 0.396 0.747 0.687 [4 per cell]
Nd1 0.185 0.055 0.871 [4 per cell]
In1 0.500 0.000 0.500 [2 per cell]

Top 12 peaks for 15° ≤ 2θ ≤ 90°, by intensity:
2theta, I/Imax
32.1, 100
32.3, 61
34.4, 58
32.1, 49
30.5, 49
26.1, 47
34.6, 45
31.5, 33
27.9, 33
28.2, 25
27.1, 18
51.0, 16

---

5.
This entry pairs a crystal structure of La4Dy3Tm4 with its calculated powder diffraction line list. Radiation: copper Kα. Structure: a DFT-relaxed cell (PBE, Alexandria).

Cell and atoms:
Cell lengths 36.313, 5.643, 3.602 Å; angles 90.00, 95.65, 90.00 degrees
Space group C2/m (No. 12)
Inequivalent atoms, fractional coordinates:
La1 0.052 0.000 0.054 [4 per cell]
La2 0.177 0.500 0.178 [4 per cell]
Dy1 0.000 0.500 0.500 [2 per cell]
Dy2 0.147 0.000 0.647 [4 per cell]
Tm1 0.093 0.500 0.595 [4 per cell]
Tm2 0.235 0.000 0.235 [4 per cell]

Top 12 peaks for 15° ≤ 2θ ≤ 90°, by intensity:
2theta, I/Imax
31.5, 100
33.0, 79
31.7, 60
31.1, 38
60.9, 33
60.3, 22
56.4, 21
30.3, 20
49.8, 19
61.0, 19
29.8, 18
27.7, 18

---

6.
This entry pairs a crystal structure of TbGdMgZn with its calculated powder diffraction line list. Radiation: copper Kα. Structure: a DFT-relaxed cell (PBE, Alexandria).

Cell and atoms:
Cell lengths 7.394, 7.394, 7.394 Å; angles 90.00, 90.00, 90.00 degrees
Space group F-43m (No. 216)
Inequivalent atoms, fractional coordinates:
Tb1 0.000 0.000 0.000 [4 per cell]
Gd1 0.000 0.000 0.500 [4 per cell]
Mg1 0.250 0.250 0.250 [4 per cell]
Zn1 0.250 0.250 0.750 [4 per cell]

Top 12 peaks for 15° ≤ 2θ ≤ 90°, by intensity:
2theta, I/Imax
34.3, 100
61.4, 37
24.1, 34
49.3, 18
82.5, 16
55.6, 14
72.3, 11
42.3, 10
77.4, 7
87.5, 4
20.8, 3
40.5, 2

---

7.
This entry pairs a crystal structure of Sc5TlAu with its calculated powder diffraction line list. Radiation: copper Kα. Structure: a DFT-relaxed cell (PBE, Alexandria).

Cell and atoms:
Cell lengths 8.200, 8.506, 9.638 Å; angles 90.00, 91.59, 90.00 degrees
Space group C2/c (No. 15)
Inequivalent atoms, fractional coordinates:
Sc1 0.000 0.144 0.250 [4 per cell]
Sc2 0.169 0.399 0.502 [8 per cell]
Sc3 0.174 0.205 0.834 [8 per cell]
Tl1 0.000 0.496 0.250 [4 per cell]
Au1 0.000 0.000 0.000 [4 per cell]

Top 12 peaks for 15° ≤ 2θ ≤ 90°, by intensity:
2theta, I/Imax
24.1, 100
30.3, 81
23.6, 80
38.3, 68
20.9, 64
21.7, 61
38.9, 50
39.8, 46
38.6, 43
49.3, 40
43.2, 37
37.3, 32

---

8.
This entry pairs a crystal structure of Mg2ZrAg with its calculated powder diffraction line list. Radiation: copper Kα. Structure: a DFT-relaxed cell (PBE, Alexandria).

Cell and atoms:
Cell lengths 3.086, 3.106, 8.546 Å; angles 90.00, 90.00, 90.00 degrees
Space group Pmmm (No. 47)
Inequivalent atoms, fractional coordinates:
Mg1 0.000 0.000 0.226 [2 per cell]
Zr1 0.500 0.500 0.500 [1 per cell]
Ag1 0.500 0.500 0.000 [1 per cell]

Top 12 peaks for 15° ≤ 2θ ≤ 90°, by intensity:
2theta, I/Imax
35.7, 100
35.9, 99
20.8, 75
41.2, 68
60.6, 39
46.6, 35
28.7, 33
28.9, 32
42.3, 29
71.5, 24
71.8, 24
73.1, 20

---

9.
This entry pairs a crystal structure of TlHgO with its calculated powder diffraction line list. Radiation: copper Kα. Structure: a DFT-relaxed cell (PBE, Alexandria).

Cell and atoms:
Cell lengths 3.799, 3.802, 12.995 Å; angles 90.28, 97.95, 119.82 degrees
Space group P-1 (No. 2)
Inequivalent atoms, fractional coordinates:
Tl1 0.078 0.272 0.359 [2 per cell]
Hg1 0.428 0.472 0.898 [2 per cell]
O1 0.317 0.426 0.738 [2 per cell]

Top 12 peaks for 15° ≤ 2θ ≤ 90°, by intensity:
2theta, I/Imax
27.2, 100
28.6, 79
29.4, 56
27.8, 54
47.9, 38
29.6, 28
31.6, 27
47.7, 19
56.1, 18
46.8, 18
46.9, 17
46.6, 16

---

10.
This entry pairs a crystal structure of Pm2SCl3 with its calculated powder diffraction line list. Radiation: copper Kα. Structure: a DFT-relaxed cell (PBE, Alexandria).

Cell and atoms:
Cell lengths 15.997, 4.306, 12.073 Å; angles 90.00, 121.41, 90.00 degrees
Space group C2/m (No. 12)
Inequivalent atoms, fractional coordinates:
Pm1 0.103 0.000 0.447 [4 per cell]
Pm2 0.128 0.500 0.827 [4 per cell]
S1 0.108 0.000 0.682 [4 per cell]
Cl1 0.067 0.500 0.263 [4 per cell]
Cl2 0.164 0.000 0.015 [4 per cell]
Cl3 0.231 0.500 0.596 [4 per cell]

Top 12 peaks for 15° ≤ 2θ ≤ 90°, by intensity:
2theta, I/Imax
24.6, 100
15.2, 93
25.5, 90
36.4, 65
26.1, 57
34.9, 47
43.8, 40
46.3, 36
42.0, 34
31.2, 32
26.6, 28
35.7, 27

---

11.
This entry pairs a crystal structure of CaScTaIr2 with its calculated powder diffraction line list. Radiation: copper Kα. Structure: a DFT-relaxed cell (PBE, Alexandria).

Cell and atoms:
Cell lengths 4.385, 4.385, 11.047 Å; angles 90.00, 90.00, 90.00 degrees
Space group I-4m2 (No. 119)
Inequivalent atoms, fractional coordinates:
Ca1 0.000 0.000 0.000 [2 per cell]
Sc1 0.000 0.500 0.750 [2 per cell]
Ta1 0.000 0.500 0.250 [2 per cell]
Ir1 0.000 0.000 0.382 [4 per cell]

Top 12 peaks for 15° ≤ 2θ ≤ 90°, by intensity:
2theta, I/Imax
21.8, 100
43.9, 69
41.2, 56
31.7, 51
33.1, 44
46.0, 29
47.1, 28
76.9, 27
52.9, 24
63.4, 23
59.6, 19
16.0, 16

---

12.
This entry pairs a crystal structure of Tl2AsSe5 with its calculated powder diffraction line list. Radiation: copper Kα. Structure: a DFT-relaxed cell (PBE, Alexandria).

Cell and atoms:
Cell lengths 5.219, 6.887, 8.250 Å; angles 69.10, 77.81, 86.68 degrees
Space group P1 (No. 1)
Inequivalent atoms, fractional coordinates:
Tl1 0.000 0.000 0.000 [1 per cell]
Tl2 0.494 0.709 0.631 [1 per cell]
As1 0.218 0.442 0.325 [1 per cell]
Se1 0.058 0.503 0.027 [1 per cell]
Se2 0.063 0.739 0.396 [1 per cell]
Se3 0.457 0.250 0.615 [1 per cell]
Se4 0.623 0.625 0.027 [1 per cell]
Se5 0.899 0.152 0.560 [1 per cell]

Top 12 peaks for 15° ≤ 2θ ≤ 90°, by intensity:
2theta, I/Imax
26.0, 100
23.0, 68
26.4, 68
23.6, 59
33.2, 41
35.7, 39
22.0, 38
18.9, 34
32.1, 34
37.8, 33
35.2, 31
38.4, 29

---

Please write out number 11 again, unchanged.
This entry pairs a crystal structure of CaScTaIr2 with its calculated powder diffraction line list. Radiation: copper Kα. Structure: a DFT-relaxed cell (PBE, Alexandria).

Cell and atoms:
Cell lengths 4.385, 4.385, 11.047 Å; angles 90.00, 90.00, 90.00 degrees
Space group I-4m2 (No. 119)
Inequivalent atoms, fractional coordinates:
Ca1 0.000 0.000 0.000 [2 per cell]
Sc1 0.000 0.500 0.750 [2 per cell]
Ta1 0.000 0.500 0.250 [2 per cell]
Ir1 0.000 0.000 0.382 [4 per cell]

Top 12 peaks for 15° ≤ 2θ ≤ 90°, by intensity:
2theta, I/Imax
21.8, 100
43.9, 69
41.2, 56
31.7, 51
33.1, 44
46.0, 29
47.1, 28
76.9, 27
52.9, 24
63.4, 23
59.6, 19
16.0, 16